The following is a simulated XRD peak list of TbGa3CuIr. It was derived from a structure optimized by DFT (GGA-PBE), using a wavelength of 1.5418 Å.
No peak broadening, texture or thermal motion is included.

```
12
Lattice="3.0267 -5.8700 0.0000 3.0267 5.8700 0.0000 0.0000 0.0000 6.2133" Properties=species:S:1:pos:R:3 pbc="T T T"
Tb 3.0267 3.3473 4.6600
Tb 3.0267 -3.3473 1.5533
Ga 1.2964 0.0000 0.0000
Ga 1.2964 0.0000 3.1067
Ga 3.0267 1.8854 1.5533
Ga 3.0267 -1.8854 4.6600
Ga 4.7570 0.0000 0.0000
Ga 4.7570 0.0000 3.1067
Cu 3.0267 0.5981 4.6600
Cu 3.0267 -0.5981 1.5533
Ir 3.0267 4.3208 1.5533
Ir 3.0267 -4.3208 4.6600
```

Principal peaks in the range 2θ = 10–80°, sorted by position:
3.286 Å, 2θ = 27.13°, intensity 26.3
3.107 Å, 2θ = 28.74°, intensity 41.1
3.027 Å, 2θ = 29.51°, intensity 41.8
2.905 Å, 2θ = 30.78°, intensity 42.6
2.746 Å, 2θ = 32.61°, intensity 40.4
2.690 Å, 2θ = 33.31°, intensity 34.8
2.258 Å, 2θ = 39.93°, intensity 35.5
2.168 Å, 2θ = 41.66°, intensity 100.0
2.065 Å, 2θ = 43.85°, intensity 60.9
1.504 Å, 2θ = 61.65°, intensity 21.8